Simulated X-ray powder pattern of BaMnNbO6 for λ = 1.5418 Å (Cu Kα), from a GGA+U-relaxed structure.

Atomic structure:
```
data_BaMnNbO6
_symmetry_space_group_name_H-M 'P 3'
_symmetry_Int_Tables_number 143
_cell_length_a 5.2664
_cell_length_b 5.2664
_cell_length_c 5.7755
_cell_angle_alpha 90.00
_cell_angle_beta 90.00
_cell_angle_gamma 120.00
loop_
_symmetry_equiv_pos_as_xyz
'x,y,z'
'-y,x-y,z'
'-x+y,-x,z'
loop_
_atom_site_label
_atom_site_type_symbol
_atom_site_fract_x
_atom_site_fract_y
_atom_site_fract_z
Ba1 Ba 0.0000 0.0000 0.0000
Mn1 Mn 0.3333 0.6667 0.4984
Nb1 Nb 0.6667 0.3333 0.5007
O1 O 0.0124 0.4009 0.6929
O2 O 0.0118 0.6087 0.3042
```

Largest 12 diffraction maxima, in order of rising 2θ, 2θ = 15–90°:
| Position (°2θ) | intensity | h k l |
| --- | --- | --- |
| 24.9 | 100 | 0 1 1 |
| 31.0 | 8 | 0 0 2 |
| 34.0 | 27 | 1 1 0 |
| 42.6 | 19 | 2 0 1 |
| 46.7 | 38 | 2 -1 2 |
| 51.5 | 11 | 0 1 3 |
| 55.6 | 20 | 3 -2 1 |
| 60.9 | 9 | 3 0 0 |
| 63.2 | 9 | 2 0 3 |
| 73.8 | 8 | 1 2 3 |
| 75.0 | 7 | 1 1 4 |
| 77.2 | 8 | 3 1 1 |